For Ti9C2O4, a crystal structure in Alexandria, relaxed with GGA-PBE gives the theoretical XRD peak list in this record (Cu Kα).
Intensities are scaled so that the largest is 100.

Top 10 peaks for 2θ = 10–90°, most intense first:
index, two_theta, I_rel
1 1 3, 39.07, 100
1 1 6, 51.34, 26
3 0 0, 61.26, 21
0 0 6, 37.08, 17
1 1 9, 68.16, 16
2 2 3, 75.10, 12
3 0 6, 73.82, 12
1 1 0, 34.22, 8
2 2 6, 83.94, 5
1 0 2, 23.10, 4

Crystal structure
```
data_Ti9C2O4
_space_group_name_H-M_alt 'P -3 c 1'
_space_group_IT_number 165
_space_group_name_Hall '-P 3 2"c'
_cell_length_a 5.2414
_cell_length_b 5.2414
_cell_length_c 14.5484
_cell_angle_alpha 90.00
_cell_angle_beta 90.00
_cell_angle_gamma 120.00
loop_
_atom_site_label
_atom_site_fract_x
_atom_site_fract_y
_atom_site_fract_z
Ti1 0.0000 0.3236 0.2500
Ti2 0.0053 0.3377 0.5843
C1 0.0000 0.0000 0.1601
O1 0.3333 0.6667 0.1712
O2 0.3333 0.6667 0.4939
```